(1)
Structure and simulated powder X-ray diffraction pattern of VCdNi4 (a cell relaxed with PBE; λ = 1.5418 Å (Cu Kα)).

Principal peaks in the range 2θ = 10–90°, in order of rising 2θ:
Position (°2θ), intensity
22.84, 6.8
26.43, 7.1
37.73, 35.2
44.56, 100.0
46.65, 33.2
54.42, 1.9
59.77, 1.6
61.49, 2.5
68.11, 11.2
72.88, 28.0
80.57, 22.4
86.60, 1.3

Atomic structure:
```
data_VCdNi4
_cell_length_a 4.7689
_cell_length_b 4.7689
_cell_length_c 4.7689
_cell_angle_alpha 60.00
_cell_angle_beta 60.00
_cell_angle_gamma 60.00
_space_group_name_H-M_alt 'P 1'
_space_group_IT_number 1
_space_group_name_Hall 'P 1'
loop_
_atom_site_label
_atom_site_fract_x
_atom_site_fract_y
_atom_site_fract_z
V1 0.0000 0.0000 0.0000
Cd1 0.2500 0.2500 0.2500
Ni1 0.1239 0.6254 0.6254
Ni2 0.6254 0.1239 0.6254
Ni3 0.6254 0.6254 0.1239
Ni4 0.6254 0.6254 0.6254
```

=====

(2)
Structure and simulated powder X-ray diffraction pattern of ScCu2F8 (a cell relaxed with PBE; λ = 1.5418 Å (Cu Kα)).

Principal peaks in the range 2θ = 10–90°, in order of rising 2θ:
Position (°2θ), intensity
27.88, 100.0
32.26, 11.4
46.47, 7.2
49.29, 31.2
49.45, 7.0
55.05, 3.9
57.53, 18.6
57.70, 12.0
65.14, 7.4
65.26, 7.1
76.97, 6.9
79.10, 8.2

Atomic structure:
```
data_ScCu2F8
_cell_length_a 6.4078
_cell_length_b 6.4078
_cell_length_c 3.9081
_cell_angle_alpha 90.00
_cell_angle_beta 90.00
_cell_angle_gamma 120.00
_space_group_name_H-M_alt 'P 1'
_space_group_IT_number 1
_space_group_name_Hall 'P 1'
loop_
_atom_site_label
_atom_site_fract_x
_atom_site_fract_y
_atom_site_fract_z
Sc1 0.0000 0.0000 0.0000
Cu1 0.3333 0.6667 0.7505
Cu2 0.6667 0.3333 0.2495
F1 0.1598 0.3210 0.7450
F2 0.1613 0.8402 0.7450
F3 0.3210 0.1613 0.2550
F4 0.3333 0.6667 0.2485
F5 0.6667 0.3333 0.7515
F6 0.6790 0.8387 0.7450
F7 0.8387 0.1598 0.2550
F8 0.8402 0.6790 0.2550
```

=====

(3)
Structure and simulated powder X-ray diffraction pattern of Dy2Ga5Ir4 (a cell relaxed with PBE; λ = 1.5418 Å (Cu Kα)).

Principal peaks in the range 2θ = 10–90°, in order of rising 2θ:
Position (°2θ), intensity
19.82, 23.1
22.70, 34.2
32.85, 56.4
33.62, 26.8
36.74, 100.0
40.95, 59.9
43.84, 20.3
46.36, 17.0
52.57, 28.0
56.40, 14.3
62.17, 22.1
67.68, 16.8

Atomic structure:
```
data_Dy2Ga5Ir4
_cell_length_a 9.2188
_cell_length_b 8.2748
_cell_length_c 5.5430
_cell_angle_alpha 81.09
_cell_angle_beta 62.47
_cell_angle_gamma 36.44
_space_group_name_H-M_alt 'P 1'
_space_group_IT_number 1
_space_group_name_Hall 'P 1'
loop_
_atom_site_label
_atom_site_fract_x
_atom_site_fract_y
_atom_site_fract_z
Dy1 0.1596 0.1596 0.8404
Dy2 0.8404 0.8404 0.1596
Ga1 0.0000 0.0000 0.5000
Ga2 0.2500 0.2500 0.2500
Ga3 0.5000 0.5000 0.0000
Ga4 0.5000 0.5000 0.5000
Ga5 0.7500 0.7500 0.7500
Ir1 0.2210 0.5234 0.4766
Ir2 0.4766 0.7790 0.2210
Ir3 0.5234 0.2210 0.7790
Ir4 0.7790 0.4766 0.5234
```

=====

(4)
Structure and simulated powder X-ray diffraction pattern of NdDy2TmAu4 (a cell relaxed with PBE; λ = 1.5418 Å (Cu Kα)).

Principal peaks in the range 2θ = 10–90°, in order of rising 2θ:
Position (°2θ), intensity
10.45, 2.0
24.58, 2.7
34.83, 99.2
35.24, 100.0
50.39, 35.2
62.18, 16.7
62.98, 36.2
63.25, 18.6
73.54, 10.3
74.53, 11.6
84.25, 14.7
84.97, 16.3

Atomic structure:
```
data_NdDy2TmAu4
_cell_length_a 8.9583
_cell_length_b 8.9583
_cell_length_c 8.9583
_cell_angle_alpha 33.03
_cell_angle_beta 33.03
_cell_angle_gamma 33.03
_space_group_name_H-M_alt 'P 1'
_space_group_IT_number 1
_space_group_name_Hall 'P 1'
loop_
_atom_site_label
_atom_site_fract_x
_atom_site_fract_y
_atom_site_fract_z
Nd1 0.0000 0.0000 0.0000
Dy1 0.2485 0.2485 0.2485
Dy2 0.7515 0.7515 0.7515
Tm1 0.5000 0.5000 0.5000
Au1 0.1285 0.1285 0.1285
Au2 0.3815 0.3815 0.3815
Au3 0.6185 0.6185 0.6185
Au4 0.8715 0.8715 0.8715
```

=====

(5)
Structure and simulated powder X-ray diffraction pattern of Ta2MnTc (a cell relaxed with PBE; λ = 1.5418 Å (Cu Kα)).

Principal peaks in the range 2θ = 10–90°, in order of rising 2θ:
Position (°2θ), intensity
20.97, 19.2
33.97, 12.0
39.07, 27.2
40.26, 100.0
42.69, 21.2
55.64, 6.3
57.25, 8.9
59.25, 16.0
71.56, 27.1
73.97, 8.2
76.52, 15.1
87.00, 11.0

Atomic structure:
```
data_Ta2MnTc
_cell_length_a 3.2186
_cell_length_b 4.2359
_cell_length_c 4.6105
_cell_angle_alpha 90.00
_cell_angle_beta 90.00
_cell_angle_gamma 90.00
_space_group_name_H-M_alt 'P 1'
_space_group_IT_number 1
_space_group_name_Hall 'P 1'
loop_
_atom_site_label
_atom_site_fract_x
_atom_site_fract_y
_atom_site_fract_z
Ta1 0.0000 0.0000 0.0000
Ta2 0.5000 0.0000 0.5000
Mn1 0.0000 0.5000 0.5000
Tc1 0.5000 0.5000 0.0000
```